# 1
This entry pairs a crystal structure of ErTmTlB with its computed XRD peak list. Radiation: CuKα. Structure: a DFT-relaxed cell (GGA-PBE, OQMD).
Lines closer than 0.1° are merged.

Structural model:
abc: 3.5985 3.5985 16.7056
angles: 90.00 90.00 120.00
Space group P-6m2 (No. 187)
One atom of each set of equivalent atoms:
Er: 0.0000 0.0000 0.1595 x2
Tm: 0.3333 0.6667 0.3415 x2
Tl: 0.0000 0.0000 0.5000 x1
Tl: 0.3333 0.6667 0.0000 x1
B: 0.6667 0.3333 0.2507 x2

Most intense lines, 2θ = 10–80°, sorted by position:
(1 0 0), 28.64 deg, I = 22.6
(0 0 6), 32.15 deg, I = 22.0
(1 0 3), 32.94 deg, I = 100.0
(1 0 6), 43.59 deg, I = 15.8
(1 1 0), 50.74 deg, I = 20.8
(1 0 9), 57.82 deg, I = 18.3
(1 1 6), 61.35 deg, I = 21.3
(2 0 3), 61.83 deg, I = 16.7

# 2
This entry pairs a crystal structure of Hg2BF5 with its computed XRD peak list. Radiation: CuKα. Structure: a DFT-relaxed cell (GGA-PBE, OQMD).
Lines closer than 0.1° are merged.

Structural model:
abc: 8.4239 6.2210 5.4541
angles: 90.00 125.18 90.00
Space group Cm (No. 8)
One atom of each set of equivalent atoms:
Hg: 0.0000 0.2031 0.0000 x4
B: 0.4761 0.0000 0.4798 x2
F: 0.0873 0.3123 0.5807 x4
F: 0.1776 0.5000 0.1481 x2
F: 0.3472 0.0000 0.5696 x2
F: 0.3588 0.0000 0.1573 x2

Most intense lines, 2θ = 10–80°, sorted by position:
(0 0 1), 19.92 deg, I = 96.6
(2 0 -1), 21.70 deg, I = 100.0
(2 0 0), 25.88 deg, I = 66.7
(2 0 -2), 32.95 deg, I = 50.3
(0 2 1), 35.17 deg, I = 44.7
(2 2 -1), 36.27 deg, I = 35.3
(2 2 0), 39.03 deg, I = 37.5
(4 0 -2), 44.19 deg, I = 33.3

# 3
This entry pairs a crystal structure of Nd4B4O11F2 with its computed XRD peak list. Radiation: CuKα. Structure: a DFT-relaxed cell (GGA-PBE, OQMD).
Lines closer than 0.1° are merged.

Structural model:
abc: 13.7911 4.6926 13.8982
angles: 90.00 91.21 90.00
Space group C2/c (No. 15)
One atom of each set of equivalent atoms:
Nd: 0.0584 0.0246 0.3704 x8
Nd: 0.2213 0.0220 0.1278 x8
B: 0.0927 0.4805 0.2146 x8
B: 0.0942 0.4515 0.5264 x8
O: 0.0000 0.3561 0.2500 x4
O: 0.0800 0.1636 0.5368 x8
O: 0.0870 0.3726 0.1069 x8
O: 0.1001 0.2199 0.7251 x8
O: 0.1124 0.4439 0.9367 x8
O: 0.1723 0.3170 0.2572 x8
F: 0.2308 0.0216 0.4252 x8

Most intense lines, 2θ = 10–80°, sorted by position:
(1 1 0), 19.99 deg, I = 73.0
(0 0 4), 25.64 deg, I = 79.6
(4 0 -2), 28.67 deg, I = 43.3
(3 1 -2), 29.92 deg, I = 100.0
(3 1 2), 30.28 deg, I = 98.2
(0 2 0), 38.36 deg, I = 43.0
(0 2 4), 46.72 deg, I = 50.5
(3 1 -6), 47.73 deg, I = 50.3

# 4
This entry pairs a crystal structure of Sm4B4O11F2 with its computed XRD peak list. Radiation: CuKα. Structure: a DFT-relaxed cell (GGA-PBE, OQMD).
Lines closer than 0.1° are merged.

Structural model:
abc: 13.6278 4.6500 13.7566
angles: 90.00 91.21 90.00
Space group C2/c (No. 15)
One atom of each set of equivalent atoms:
Sm: 0.0588 0.0224 0.3702 x8
Sm: 0.2208 0.0194 0.1282 x8
B: 0.0932 0.4781 0.2141 x8
B: 0.0945 0.4527 0.5249 x8
O: 0.0000 0.3499 0.2500 x4
O: 0.0795 0.1630 0.5359 x8
O: 0.0871 0.3687 0.1058 x8
O: 0.0997 0.2195 0.7248 x8
O: 0.1129 0.4436 0.9339 x8
O: 0.1741 0.3150 0.2569 x8
F: 0.2309 0.0214 0.4256 x8

Most intense lines, 2θ = 10–80°, sorted by position:
(1 1 0), 20.18 deg, I = 76.7
(0 0 4), 25.91 deg, I = 80.9
(4 0 -2), 29.01 deg, I = 44.9
(3 1 -2), 30.25 deg, I = 100.0
(3 1 2), 30.61 deg, I = 98.6
(1 1 -4), 32.95 deg, I = 43.3
(0 2 4), 47.19 deg, I = 51.2
(3 1 -6), 48.26 deg, I = 49.2

# 5
This entry pairs a crystal structure of Tm5B2O6F9 with its computed XRD peak list. Radiation: CuKα. Structure: a DFT-relaxed cell (GGA-PBE, OQMD).
Lines closer than 0.1° are merged.

Structural model:
abc: 19.9631 5.9503 8.1148
angles: 90.00 100.28 90.00
Space group C2/c (No. 15)
One atom of each set of equivalent atoms:
Tm: 0.0000 0.1124 0.2500 x4
Tm: 0.1096 0.3879 0.9056 x8
Tm: 0.1939 0.1227 0.3196 x8
B: 0.1112 0.0955 0.5629 x8
O: 0.0910 0.2423 0.4336 x8
O: 0.0920 0.1022 0.7180 x8
O: 0.1600 0.0624 0.0394 x8
F: 0.0000 0.4910 0.2500 x4
F: 0.0310 0.1833 0.9869 x8
F: 0.1316 0.4293 0.1844 x8
F: 0.2113 0.4271 0.4810 x8
F: 0.2244 0.2222 0.7866 x8

Most intense lines, 2θ = 10–80°, sorted by position:
(2 0 -2), 22.49 deg, I = 42.6
(2 0 2), 25.54 deg, I = 39.5
(5 1 0), 27.20 deg, I = 100.0
(5 1 -1), 27.84 deg, I = 56.9
(3 1 -2), 28.31 deg, I = 37.5
(5 1 1), 30.99 deg, I = 32.5
(0 2 1), 32.10 deg, I = 91.1
(4 2 3), 51.98 deg, I = 59.8

# 6
This entry pairs a crystal structure of FeB with its computed XRD peak list. Radiation: CuKα. Structure: a DFT-relaxed cell (GGA-PBE, OQMD).
Lines closer than 0.1° are merged.

Structural model:
abc: 2.9262 2.9262 14.9538
angles: 90.00 90.00 90.00
Space group I4_1/amd (No. 141, origin choice 2)
One atom of each set of equivalent atoms:
Fe: 0.0000 0.2500 0.0709 x8
B: 0.0000 0.2500 0.2151 x8

Most intense lines, 2θ = 10–80°, sorted by position:
(1 0 3), 35.58 deg, I = 78.1
(1 0 5), 43.26 deg, I = 77.1
(1 1 2), 45.48 deg, I = 100.0
(0 0 8), 48.71 deg, I = 25.5
(1 0 7), 53.08 deg, I = 26.7
(1 1 6), 57.93 deg, I = 21.2
(2 0 0), 63.59 deg, I = 30.3
(1 1 10), 79.00 deg, I = 18.5

# 7
This entry pairs a crystal structure of GaFe2B with its computed XRD peak list. Radiation: CuKα. Structure: a DFT-relaxed cell (GGA-PBE, OQMD).
Lines closer than 0.1° are merged.

Structural model:
abc: 5.4216 5.4216 5.4216
angles: 90.00 90.00 90.00
Space group Pm-3m (No. 221)
One atom of each set of equivalent atoms:
Ga: 0.0000 0.0000 0.0000 x1
Ga: 0.0000 0.0000 0.5000 x3
Fe: 0.2742 0.2742 0.2742 x8
B: 0.0000 0.5000 0.5000 x3
B: 0.5000 0.5000 0.5000 x1

Most intense lines, 2θ = 10–80°, sorted by position:
(1 0 0), 16.35 deg, I = 3.9
(1 1 1), 28.52 deg, I = 8.5
(2 0 0), 33.04 deg, I = 4.0
(2 1 0), 37.08 deg, I = 29.3
(2 2 0), 47.43 deg, I = 100.0
(3 0 0), 50.50 deg, I = 9.9
(4 0 0), 69.33 deg, I = 13.2
(3 2 2), 71.79 deg, I = 10.4

# 8
This entry pairs a crystal structure of Gd5Fe2B6 with its computed XRD peak list. Radiation: CuKα. Structure: a DFT-relaxed cell (GGA-PBE, OQMD).
Lines closer than 0.1° are merged.

Structural model:
abc: 5.4260 5.4260 23.2432
angles: 90.00 90.00 120.00
Space group R-3m (No. 166, hexagonal axes)
One atom of each set of equivalent atoms:
Gd: 0.0000 0.0000 0.0000 x3
Gd: 0.0000 0.0000 0.2517 x6
Gd: 0.0000 0.0000 0.4163 x6
Fe: 0.0000 0.0000 0.1188 x6
B: 0.0000 0.3326 0.5000 x18

Most intense lines, 2θ = 10–80°, sorted by position:
(0 0 6), 22.96 deg, I = 15.7
(0 1 5), 26.98 deg, I = 16.0
(1 1 0), 33.02 deg, I = 100.0
(0 1 8), 36.36 deg, I = 14.0
(1 1 6), 40.60 deg, I = 29.9
(0 2 7), 47.40 deg, I = 9.1
(1 1 12), 58.55 deg, I = 16.5
(3 0 0), 58.97 deg, I = 25.7